[1]
Theoretical powder XRD pattern of NdAl3Cu for a wavelength of 1.5418 Å, from a structure optimized by DFT (PBE).

```
data_NdAl3Cu
_chemical_formula_sum 'Nd2 Al6 Cu2'
_space_group_name_H-M_alt 'I 4 m m'
_space_group_IT_number 107
_space_group_name_Hall 'I 4 -2'
_cell_length_a 4.231
_cell_length_b 4.231
_cell_length_c 10.654
_cell_angle_alpha 90.00
_cell_angle_beta 90.00
_cell_angle_gamma 90.00
loop_
_atom_site_label
_atom_site_type_symbol
_atom_site_fract_x
_atom_site_fract_y
_atom_site_fract_z
Nd1 Nd 0.000 0.000 0.000
Al1 Al 0.000 0.000 0.409
Al2 Al 0.000 0.500 0.250
Cu1 Cu 0.000 0.000 0.633
```

Principal peaks in the range 2θ = 5–70°, most intense first:
- 32.93°, d 2.720, rel. 100, (1 0 3)
- 34.38°, d 2.609, rel. 92, (1 1 2)
- 29.86°, d 2.992, rel. 54, (1 1 0)
- 42.74°, d 2.116, rel. 50, (2 0 0)
- 54.98°, d 1.670, rel. 45, (2 1 3)
- 22.61°, d 3.933, rel. 42, (1 0 1)

---

[2]
Theoretical powder XRD pattern of YGaAg for a wavelength of 1.5418 Å, from a structure optimized by DFT (PBE).

```
data_YGaAg
_chemical_formula_sum 'Y4 Ga4 Ag4'
_space_group_name_H-M_alt 'C 1 2/m 1'
_space_group_IT_number 12
_cell_length_a 10.569
_cell_length_b 4.592
_cell_length_c 7.203
_cell_angle_alpha 90.00
_cell_angle_beta 132.13
_cell_angle_gamma 90.00
loop_
_space_group_symop_operation_xyz
'x,y,z'
'-x,-y,-z'
'-x,y,-z'
'x,-y,z'
'x+1/2,y+1/2,z'
'-x+1/2,-y+1/2,-z'
'-x+1/2,y+1/2,-z'
'x+1/2,-y+1/2,z'
loop_
_atom_site_label
_atom_site_type_symbol
_atom_site_fract_x
_atom_site_fract_y
_atom_site_fract_z
Y1 Y 0.035 0.000 0.291
Ga1 Ga 0.159 0.500 0.116
Ag1 Ag 0.174 0.500 0.723
```

Principal peaks in the range 2θ = 5–70°, most intense first:
- 39.69°, d 2.271, rel. 100, (3 1 0)
- 33.76°, d 2.655, rel. 89, (3 1 -2)
- 33.53°, d 2.673, rel. 85, (0 0 2)
- 39.24°, d 2.296, rel. 61, (0 2 0)
- 32.38°, d 2.765, rel. 39, (1 1 1)
- 34.05°, d 2.633, rel. 25, (4 0 -2)

---

[3]
Theoretical powder XRD pattern of Na2CuH2S2O8 for a wavelength of 1.5418 Å, from a structure optimized by DFT (PBE).

```
data_Na2CuH2S2O8
_chemical_formula_sum 'Na4 Cu2 H4 S4 O16'
_space_group_name_H-M_alt 'P 1 21/c 1'
_space_group_IT_number 14
_cell_length_a 5.924
_cell_length_b 12.418
_cell_length_c 5.303
_cell_angle_alpha 90.00
_cell_angle_beta 113.33
_cell_angle_gamma 90.00
loop_
_space_group_symop_operation_xyz
'x,y,z'
'-x,-y,-z'
'-x,y+1/2,-z+1/2'
'x,-y+1/2,z+1/2'
loop_
_atom_site_label
_atom_site_type_symbol
_atom_site_fract_x
_atom_site_fract_y
_atom_site_fract_z
Na1 Na 0.074 0.131 0.243
Cu1 Cu 0.500 0.000 0.000
H1 H 0.371 0.111 0.971
S1 S 0.274 0.619 0.935
O1 O 0.062 0.691 0.872
O2 O 0.229 0.548 0.691
O3 O 0.257 0.543 0.162
O4 O 0.488 0.172 0.473
```

Principal peaks in the range 2θ = 5–70°, most intense first:
- 28.30°, d 3.154, rel. 100, (0 3 1)
- 14.26°, d 6.209, rel. 77, (0 2 0)
- 28.85°, d 3.095, rel. 69, (1 3 -1)
- 31.51°, d 2.839, rel. 56, (2 1 -1)
- 17.80°, d 4.982, rel. 48, (1 1 0)
- 21.72°, d 4.091, rel. 46, (1 2 0)

---

[4]
Theoretical powder XRD pattern of NaTaGeO5 for a wavelength of 1.5418 Å, from a structure optimized by DFT (PBE).

```
data_NaTaGeO5
_chemical_formula_sum 'Na4 Ta4 Ge4 O20'
_space_group_name_H-M_alt 'C 1 2/c 1'
_space_group_IT_number 15
_cell_length_a 7.018
_cell_length_b 8.991
_cell_length_c 7.518
_cell_angle_alpha 90.00
_cell_angle_beta 115.36
_cell_angle_gamma 90.00
loop_
_space_group_symop_operation_xyz
'x,y,z'
'-x,-y,-z'
'-x,y,-z+1/2'
'x,-y,z+1/2'
'x+1/2,y+1/2,z'
'-x+1/2,-y+1/2,-z'
'-x+1/2,y+1/2,-z+1/2'
'x+1/2,-y+1/2,z+1/2'
loop_
_atom_site_label
_atom_site_type_symbol
_atom_site_fract_x
_atom_site_fract_y
_atom_site_fract_z
Na1 Na 0.000 0.176 0.250
Ta1 Ta 0.000 0.500 0.000
Ge1 Ge 0.000 0.180 0.750
O1 O 0.000 0.437 0.250
O2 O 0.089 0.292 0.606
O3 O 0.197 0.057 0.905
```

Principal peaks in the range 2θ = 5–70°, most intense first:
- 33.06°, d 2.710, rel. 100, (1 3 0)
- 17.11°, d 5.182, rel. 91, (1 1 0)
- 25.84°, d 3.447, rel. 88, (1 1 -2)
- 28.14°, d 3.171, rel. 51, (2 0 0)
- 19.75°, d 4.496, rel. 23, (0 2 0)
- 35.46°, d 2.531, rel. 22, (2 2 -2)

---

[5]
Theoretical powder XRD pattern of CaAl2SiO6 for a wavelength of 1.5418 Å, from a structure optimized by DFT (PBE).

```
data_CaAl2SiO6
_chemical_formula_sum 'Ca4 Al8 Si4 O24'
_space_group_name_H-M_alt 'P 1 21/c 1'
_space_group_IT_number 14
_cell_length_a 9.712
_cell_length_b 8.759
_cell_length_c 5.330
_cell_angle_alpha 90.00
_cell_angle_beta 105.11
_cell_angle_gamma 90.00
loop_
_space_group_symop_operation_xyz
'x,y,z'
'-x,-y,-z'
'-x,y+1/2,-z+1/2'
'x,-y+1/2,z+1/2'
loop_
_atom_site_label
_atom_site_type_symbol
_atom_site_fract_x
_atom_site_fract_y
_atom_site_fract_z
Ca1 Ca 0.232 0.062 0.485
Al1 Al 0.038 0.153 0.832
Al2 Al 0.243 0.659 0.483
Si1 Si 0.464 0.154 0.185
O1 O 0.114 0.226 0.141
O2 O 0.117 0.522 0.294
O3 O 0.154 0.670 0.762
O4 O 0.362 0.666 0.228
O5 O 0.385 0.509 0.680
O6 O 0.404 0.242 0.900
```

Principal peaks in the range 2θ = 5–70°, most intense first:
- 29.91°, d 2.987, rel. 100, (1 2 1)
- 35.90°, d 2.501, rel. 47, (3 2 -1)
- 35.15°, d 2.553, rel. 40, (2 0 -2)
- 30.70°, d 2.912, rel. 38, (2 1 1)
- 45.04°, d 2.013, rel. 30, (1 4 -1)
- 30.36°, d 2.944, rel. 28, (3 1 0)

---

[6]
Theoretical powder XRD pattern of AlGaNi6 for a wavelength of 1.5418 Å, from a structure optimized by DFT (PBE).

```
data_AlGaNi6
_chemical_formula_sum 'Al1 Ga1 Ni6'
_space_group_name_H-M_alt 'P 4/m m m'
_space_group_IT_number 123
_space_group_name_Hall '-P 4 2'
_cell_length_a 3.569
_cell_length_b 3.569
_cell_length_c 7.132
_cell_angle_alpha 90.00
_cell_angle_beta 90.00
_cell_angle_gamma 90.00
loop_
_atom_site_label
_atom_site_type_symbol
_atom_site_fract_x
_atom_site_fract_y
_atom_site_fract_z
Al1 Al 0.000 0.000 0.000
Ga1 Ga 0.000 0.000 0.500
Ni1 Ni 0.000 0.500 0.249
Ni2 Ni 0.500 0.500 0.000
Ni3 Ni 0.500 0.500 0.500
```

Principal peaks in the range 2θ = 5–70°, most intense first:
- 43.95°, d 2.060, rel. 100, (1 1 2)
- 51.20°, d 1.784, rel. 47, (2 0 0)
- 12.41°, d 7.132, rel. 4, (0 0 1)
- 27.95°, d 3.192, rel. 3, (1 0 1)
- 37.82°, d 2.379, rel. 2, (0 0 3)
- 24.95°, d 3.568, rel. 1, (1 0 0)

---

[7]
Theoretical powder XRD pattern of LiBiO2 for a wavelength of 1.5418 Å, from a structure optimized by DFT (PBE).

```
data_LiBiO2
_chemical_formula_sum 'Li2 Bi2 O4'
_space_group_name_H-M_alt 'P 4/n m m'
_space_group_IT_number 129
_cell_length_a 3.492
_cell_length_b 3.492
_cell_length_c 9.515
_cell_angle_alpha 90.00
_cell_angle_beta 90.00
_cell_angle_gamma 90.00
loop_
_space_group_symop_operation_xyz
'x,y,z'
'-x,-y,-z'
'-y+1/2,x,z'
'y+1/2,-x,-z'
'-x+1/2,-y+1/2,z'
'x+1/2,y+1/2,-z'
'y,-x+1/2,z'
'-y,x+1/2,-z'
'x+1/2,-y,-z'
'-x+1/2,y,z'
'-y,-x,-z'
'y,x,z'
'-x,y+1/2,-z'
'x,-y+1/2,z'
'y+1/2,x+1/2,-z'
'-y+1/2,-x+1/2,z'
loop_
_atom_site_label
_atom_site_type_symbol
_atom_site_fract_x
_atom_site_fract_y
_atom_site_fract_z
Li1 Li 0.250 0.750 0.000
Bi1 Bi 0.250 0.250 0.315
O1 O 0.250 0.250 0.097
O2 O 0.250 0.250 0.672
```

Principal peaks in the range 2θ = 5–70°, most intense first:
- 27.20°, d 3.279, rel. 100, (1 0 1)
- 36.38°, d 2.470, rel. 39, (1 1 0)
- 9.29°, d 9.515, rel. 37, (0 0 1)
- 18.65°, d 4.757, rel. 35, (0 0 2)
- 28.14°, d 3.172, rel. 31, (0 0 3)
- 46.17°, d 1.966, rel. 30, (1 0 4)